[1]
This entry pairs a crystal structure of La4Tb5Pm with its simulated PXRD pattern. Radiation: Cu Kα (λ = 1.5418 Å). Structure: a structure optimized by DFT (PBE).
Lines closer than 0.1° are merged.

Atomic structure:
Lattice parameters (Å, degrees): 10.737 10.737 5.938 90.00 90.00 90.00
Space group P4/nmm (No. 129, origin choice 2)
Asymmetric unit:
La  0.045  0.750  0.129 [8 per cell]
Tb  0.089  0.089  0.345 [8 per cell]
Tb  0.250  0.750  0.500 [2 per cell]
Pm  0.250  0.250  0.879 [2 per cell]

Top 10 peaks for 10° ≤ 2θ ≤ 90°, most intense first:
hkl 3 0 1, 2θ = 29.13°, intensity 100
hkl 3 1 1, 2θ = 30.32°, intensity 57
hkl 3 3 0, 2θ = 35.49°, intensity 44
hkl 1 0 2, 2θ = 31.26°, intensity 38
hkl 4 3 2, 2θ = 52.60°, intensity 31
hkl 2 2 1, 2θ = 27.89°, intensity 23
hkl 6 3 1, 2θ = 59.84°, intensity 17
hkl 6 0 0, 2θ = 51.04°, intensity 17
hkl 7 3 1, 2θ = 68.39°, intensity 15
hkl 4 0 3, 2θ = 57.88°, intensity 13

***

[2]
This entry pairs a crystal structure of La3Tb4Pm5 with its simulated PXRD pattern. Radiation: Cu Kα (λ = 1.5418 Å). Structure: a structure optimized by DFT (PBE).
Lines closer than 0.1° are merged.

Atomic structure:
Lattice parameters (Å, degrees): 6.327 7.274 8.944 90.04 90.13 90.05
Space group P-1 (No. 2)
Asymmetric unit:
La  0.000  0.000  0.000 [1 per cell]
La  0.166  0.748  0.666 [2 per cell]
Tb  0.169  0.252  0.666 [2 per cell]
Tb  0.334  0.501  0.334 [2 per cell]
Pm  0.000  0.500  0.000 [1 per cell]
Pm  0.334  0.000  0.334 [2 per cell]
Pm  0.498  0.252  0.000 [2 per cell]

Top 10 peaks for 10° ≤ 2θ ≤ 90°, most intense first:
hkl 2 0 1, 2θ = 30.00°, intensity 100
hkl 1 2 2, 2θ = 34.83°, intensity 45
hkl 3 2 0, 2θ = 49.99°, intensity 40
hkl 1 2 -1, 2θ = 30.04°, intensity 33
hkl 2 0 -2, 2θ = 34.70°, intensity 23
hkl 4 0 -1, 2θ = 59.31°, intensity 19
hkl 3 2 3, 2θ = 59.44°, intensity 19
hkl 2 4 1, 2θ = 59.55°, intensity 19
hkl 5 2 1, 2θ = 81.24°, intensity 14
hkl 4 0 2, 2θ = 62.30°, intensity 8